This entry pairs a crystal structure of Sr3Tl4Rh2 with its computed X-ray powder pattern. Radiation: Cu Kα, 1.54184 Å. Structure: a structure optimized by DFT (PBE).
Lines closer than 0.1° are merged.

Structural model:
```
Sr3Tl4Rh2
1.0
6.8334 -5.1762 0.0000
6.8334 5.1762 0.0000
-2.3476 0.0000 7.6077
Sr Tl Rh
6 8 4
Direct
0.0377 0.9623 0.7500
0.2602 0.4547 0.8079
0.4547 0.2602 0.3079
0.5453 0.7398 0.6921
0.7398 0.5453 0.1921
0.9623 0.0377 0.2500
0.0807 0.3021 0.0545
0.1602 0.6467 0.3952
0.3021 0.0807 0.5545
0.3533 0.8398 0.1048
0.6467 0.1602 0.8952
0.6979 0.9193 0.4455
0.8398 0.3533 0.6048
0.9193 0.6979 0.9455
0.0899 0.3534 0.4207
0.3534 0.0899 0.9207
0.6466 0.9101 0.0793
0.9101 0.6466 0.5793
```

Top 6 peaks for 2θ = 10–90°, by angle:
2θ/deg  I/Imax
13.56  45.0
27.58  42.9
30.05  100.0
30.49  62.8
33.07  44.6
38.26  43.7